1.
The following is a simulated X-ray powder pattern of CaSiSnO5. It was derived from the GGA-PBE geometry in the Materials Project, using Cu Kα, 1.54184 Å.

Atomic structure:
Cell lengths 5.637, 5.637, 7.267 Å; angles 103.98, 103.98, 105.87 degrees
Sites, in units of the cell vectors:
1 Ca 0.163 0.837 0.750
2 Ca 0.837 0.163 0.250
3 Si 0.181 0.819 0.250
4 Si 0.819 0.181 0.750
5 Sn 0.500 0.500 0.000
6 Sn 0.500 0.500 0.500
7 O 0.109 0.240 0.911
8 O 0.177 0.605 0.372
9 O 0.240 0.109 0.411
10 O 0.395 0.823 0.128
11 O 0.411 0.589 0.750
12 O 0.589 0.411 0.250
13 O 0.605 0.177 0.872
14 O 0.760 0.891 0.589
15 O 0.823 0.395 0.628
16 O 0.891 0.760 0.089

Top 10 peaks for 2θ = 10–90°, in order of falling intensity:
Position (°2θ), Rel. int.
26.71, 100
17.32, 82
33.16, 58
28.68, 58
33.49, 52
42.27, 26
19.74, 24
53.71, 22
51.73, 20
51.17, 19

2.
The following is a simulated X-ray powder pattern of Ca3Si4Sn2O14. It was derived from the GGA-PBE geometry in the Materials Project, using Cu Kα, 1.54184 Å.

Atomic structure:
Cell lengths 9.854, 9.854, 10.717 Å; angles 122.70, 122.70, 46.30 degrees
Sites, in units of the cell vectors:
1 Ca 0.185 0.815 0.750
2 Ca 0.259 0.327 0.537
3 Ca 0.327 0.259 0.037
4 Ca 0.673 0.741 0.963
5 Ca 0.741 0.673 0.463
6 Ca 0.815 0.185 0.250
7 Si 0.007 0.244 0.642
8 Si 0.038 0.582 0.832
9 Si 0.244 0.007 0.142
10 Si 0.418 0.962 0.668
11 Si 0.582 0.038 0.332
12 Si 0.756 0.993 0.858
13 Si 0.962 0.418 0.168
14 Si 0.993 0.756 0.358
15 Sn 0.269 0.731 0.250
16 Sn 0.500 0.500 0.000
17 Sn 0.500 0.500 0.500
18 Sn 0.731 0.269 0.750
19 O 0.012 0.418 0.812
20 O 0.020 0.566 0.667
21 O 0.037 0.084 0.676
22 O 0.084 0.037 0.176
23 O 0.147 0.204 0.095
24 O 0.191 0.647 0.490
25 O 0.204 0.147 0.595
26 O 0.243 0.533 0.971
27 O 0.353 0.809 0.010
28 O 0.418 0.012 0.312
29 O 0.430 0.435 0.774
30 O 0.434 0.980 0.833
31 O 0.435 0.430 0.274
32 O 0.467 0.757 0.529
33 O 0.533 0.243 0.471
34 O 0.565 0.570 0.726
35 O 0.566 0.020 0.167
36 O 0.570 0.565 0.226
37 O 0.582 0.988 0.688
38 O 0.647 0.191 0.990
39 O 0.757 0.467 0.029
40 O 0.796 0.853 0.405
41 O 0.809 0.353 0.510
42 O 0.853 0.796 0.905
43 O 0.916 0.963 0.824
44 O 0.963 0.916 0.324
45 O 0.980 0.434 0.333
46 O 0.988 0.582 0.188

Top 10 peaks for 2θ = 10–90°, in order of falling intensity:
Position (°2θ), Rel. int.
30.99, 100
12.07, 40
12.92, 35
27.19, 34
37.78, 33
27.30, 25
24.28, 22
18.61, 21
58.34, 20
33.45, 16